Structure and simulated powder XRD pattern of BeFePtW2 (a crystal structure in Alexandria, relaxed with GGA-PBE; Cu Kα X-rays).
Intensities are scaled so that the largest is 1000.

Top 8 peaks for 15° ≤ 2θ ≤ 90°, by angle:
| 2θ/deg | intensity |
| --- | --- |
| 37.66 | 1000 |
| 43.42 | 349 |
| 44.43 | 163 |
| 63.08 | 116 |
| 63.87 | 223 |
| 75.85 | 261 |
| 77.30 | 124 |
| 80.40 | 117 |

Structure:
Cell: 4.1683 4.1683 4.0776 Å, 90.00 90.00 90.00°
Positions (direct):
Be 0.0000 0.0000 0.0000
Fe 0.5000 0.5000 0.5000
Pt 0.0000 0.0000 0.5000
W 0.0000 0.5000 0.0000
W 0.5000 0.0000 0.0000

***

Structure and simulated powder XRD pattern of DyHfMn17 (a crystal structure in Alexandria, relaxed with GGA-PBE; Cu Kα X-rays).
Intensities are scaled so that the largest is 1000.

Top 8 peaks for 15° ≤ 2θ ≤ 90°, by angle:
| 2θ/deg | intensity |
| --- | --- |
| 31.00 | 261 |
| 38.24 | 226 |
| 38.93 | 151 |
| 44.42 | 1000 |
| 45.05 | 151 |
| 64.63 | 177 |
| 73.44 | 85 |
| 81.85 | 82 |

Structure:
Cell: 6.2317 6.2317 6.2317 Å, 81.72 81.72 81.72°
Positions (direct):
Dy 0.0000 0.0000 0.0000
Hf 0.3106 0.3106 0.3106
Mn 0.1606 0.6549 0.6549
Mn 0.3138 0.3138 0.8111
Mn 0.3138 0.8111 0.3138
Mn 0.3637 0.6511 0.9532
Mn 0.3637 0.9532 0.6511
Mn 0.4999 0.9979 0.9979
Mn 0.5641 0.5641 0.5641
Mn 0.6511 0.3637 0.9532
Mn 0.6511 0.9532 0.3637
Mn 0.6549 0.1606 0.6549
Mn 0.6549 0.6549 0.1606
Mn 0.7472 0.7472 0.7472
Mn 0.8111 0.3138 0.3138
Mn 0.9532 0.3637 0.6511
Mn 0.9532 0.6511 0.3637
Mn 0.9979 0.4999 0.9979
Mn 0.9979 0.9979 0.4999

***

Structure and simulated powder XRD pattern of Ac3In2AgPd6 (a crystal structure in Alexandria, relaxed with GGA-PBE; Cu Kα X-rays).
Intensities are scaled so that the largest is 1000.

Top 8 peaks for 15° ≤ 2θ ≤ 90°, by angle:
| 2θ/deg | intensity |
| --- | --- |
| 26.02 | 530 |
| 29.18 | 347 |
| 30.10 | 784 |
| 34.09 | 341 |
| 36.03 | 995 |
| 36.29 | 1000 |
| 40.20 | 694 |
| 62.60 | 668 |

Structure:
Cell: 5.9375 5.9375 9.1817 Å, 90.00 90.00 120.00°
Positions (direct):
Ac 0.0000 0.0000 0.0000
Ac 0.3333 0.6667 0.6181
Ac 0.6667 0.3333 0.3819
In 0.3333 0.6667 0.0181
In 0.6667 0.3333 0.9819
Ag 0.0000 0.0000 0.5000
Pd 0.1743 0.3487 0.2738
Pd 0.1743 0.8257 0.2738
Pd 0.3487 0.1743 0.7262
Pd 0.6513 0.8257 0.2738
Pd 0.8257 0.1743 0.7262
Pd 0.8257 0.6513 0.7262

***

Structure and simulated powder XRD pattern of CoSn2HgPb (a crystal structure in Alexandria, relaxed with GGA-PBE; Cu Kα X-rays).
Intensities are scaled so that the largest is 1000.

Top 8 peaks for 15° ≤ 2θ ≤ 90°, by angle:
| 2θ/deg | intensity |
| --- | --- |
| 30.76 | 1000 |
| 34.30 | 278 |
| 36.34 | 477 |
| 50.83 | 371 |
| 52.34 | 170 |
| 59.24 | 165 |
| 61.95 | 290 |
| 64.08 | 187 |

Structure:
Cell: 4.9441 4.9441 5.2288 Å, 90.00 90.00 90.00°
Positions (direct):
Co 0.0000 0.0000 0.0000
Sn 0.0000 0.5000 0.0000
Sn 0.5000 0.0000 0.0000
Hg 0.5000 0.5000 0.5000
Pb 0.0000 0.0000 0.5000

***

Structure and simulated powder XRD pattern of Cs4SnTe4 (a crystal structure in Alexandria, relaxed with GGA-PBE; Cu Kα X-rays).
Intensities are scaled so that the largest is 1000.

Top 8 peaks for 15° ≤ 2θ ≤ 90°, by angle:
| 2θ/deg | intensity |
| --- | --- |
| 18.36 | 1000 |
| 22.91 | 261 |
| 28.06 | 474 |
| 28.58 | 699 |
| 31.22 | 508 |
| 33.74 | 237 |
| 34.98 | 279 |
| 41.61 | 214 |

Structure:
Cell: 9.7837 9.7837 9.7837 Å, 125.28 125.28 81.08°
Positions (direct):
Cs 0.0000 0.5000 0.5000
Cs 0.1915 0.1915 0.0000
Cs 0.5000 0.0000 0.5000
Cs 0.8085 0.8085 0.0000
Sn 0.5000 0.5000 0.0000
Te 0.2091 0.2091 0.6431
Te 0.4339 0.7909 0.0000
Te 0.5661 0.5661 0.3569
Te 0.7909 0.4339 0.0000

***

Structure and simulated powder XRD pattern of CsAsBr3 (a crystal structure in Alexandria, relaxed with GGA-PBE; Cu Kα X-rays).
Intensities are scaled so that the largest is 1000.

Top 8 peaks for 15° ≤ 2θ ≤ 90°, by angle:
| 2θ/deg | intensity |
| --- | --- |
| 20.12 | 347 |
| 24.58 | 307 |
| 25.28 | 1000 |
| 27.89 | 300 |
| 28.33 | 617 |
| 29.80 | 360 |
| 30.71 | 322 |
| 33.71 | 284 |

Structure:
Cell: 9.3178 9.8029 12.5179 Å, 90.00 125.91 90.00°
Positions (direct):
Cs 0.1437 0.1075 0.2590
Cs 0.1437 0.3925 0.7590
Cs 0.8563 0.6075 0.2410
Cs 0.8563 0.8925 0.7410
As 0.4775 0.5879 0.4109
As 0.4775 0.9121 0.9109
As 0.5225 0.0879 0.0891
As 0.5225 0.4121 0.5891
Br 0.1710 0.1381 0.9804
Br 0.1710 0.3619 0.4804
Br 0.2077 0.0234 0.7077
Br 0.2077 0.4766 0.2077
Br 0.3616 0.7390 0.9879
Br 0.3616 0.7610 0.4879
Br 0.6384 0.2390 0.5121
Br 0.6384 0.2610 0.0121
Br 0.7923 0.5234 0.7923
Br 0.7923 0.9766 0.2923
Br 0.8290 0.6381 0.5196
Br 0.8290 0.8619 0.0196

***

Structure and simulated powder XRD pattern of NaLiZnS2 (a crystal structure in Alexandria, relaxed with GGA-PBE; Cu Kα X-rays).
Intensities are scaled so that the largest is 1000.

Top 8 peaks for 15° ≤ 2θ ≤ 90°, by angle:
| 2θ/deg | intensity |
| --- | --- |
| 25.86 | 609 |
| 26.08 | 218 |
| 29.02 | 1000 |
| 37.05 | 492 |
| 45.60 | 614 |
| 47.87 | 549 |
| 68.25 | 177 |
| 85.98 | 190 |

Structure:
Cell: 3.9788 3.9788 6.8337 Å, 90.00 90.00 120.00°
Positions (direct):
Na 0.0000 0.0000 0.0000
Li 0.3333 0.6667 0.3309
Zn 0.6667 0.3333 0.5853
S 0.3333 0.6667 0.7075
S 0.6667 0.3333 0.2448

***

Structure and simulated powder XRD pattern of MgU4Ga12 (a crystal structure in Alexandria, relaxed with GGA-PBE; Cu Kα X-rays).
Intensities are scaled so that the largest is 1000.

Top 8 peaks for 15° ≤ 2θ ≤ 90°, by angle:
| 2θ/deg | intensity |
| --- | --- |
| 20.45 | 320 |
| 29.08 | 463 |
| 35.82 | 1000 |
| 41.60 | 516 |
| 46.78 | 240 |
| 60.29 | 300 |
| 64.37 | 142 |
| 72.15 | 315 |

Structure:
Cell: 7.5206 7.5206 7.5206 Å, 109.47 109.47 109.47°
Positions (direct):
Mg 0.0000 0.0000 0.0000
U 0.0000 0.0000 0.5000
U 0.0000 0.5000 0.0000
U 0.5000 0.0000 0.0000
U 0.5000 0.5000 0.5000
Ga 0.0000 0.3053 0.3053
Ga 0.0000 0.6947 0.6947
Ga 0.2500 0.5000 0.7500
Ga 0.2500 0.7500 0.5000
Ga 0.3053 0.0000 0.3053
Ga 0.3053 0.3053 0.0000
Ga 0.5000 0.2500 0.7500
Ga 0.5000 0.7500 0.2500
Ga 0.6947 0.0000 0.6947
Ga 0.6947 0.6947 0.0000
Ga 0.7500 0.2500 0.5000
Ga 0.7500 0.5000 0.2500